Rb2CuOsF6: computed powder diffraction line list (CuKα), based on the GGA-PBE geometry in OQMD.

Most intense lines, 2θ from 10° to 80°, in order of rising 2θ:
index	2θ/deg	d/Å	I_rel
1 0 0	17.5	5.059	25
1 0 1	19.5	4.541	49
1 1 0	30.6	2.921	91
1 0 3	31.5	2.842	100
2 0 3	44.5	2.037	55
3 0 0	54.4	1.686	26
3 -1 3	55.0	1.671	46
1 1 6	62.8	1.480	31

Structural model:
```
Rb2CuOsF6
1.0
5.842 0.000 0.000
-2.921 5.059 0.000
0.000 0.000 10.304
Rb Cu Os F
4 2 2 12
Direct
0.333 0.667 0.077
0.333 0.667 0.423
0.667 0.333 0.577
0.667 0.333 0.923
0.000 0.000 0.250
0.000 0.000 0.750
0.333 0.667 0.750
0.667 0.333 0.250
0.095 0.351 0.866
0.095 0.743 0.634
0.257 0.351 0.634
0.257 0.905 0.866
0.351 0.095 0.366
0.351 0.257 0.134
0.649 0.743 0.866
0.649 0.905 0.634
0.743 0.095 0.134
0.743 0.649 0.366
0.905 0.257 0.366
0.905 0.649 0.134
```